1.
# Nd2Pd2O5
Calculated XRD peak list, copper Kα. Input: a PBE-relaxed structure.
Neutral-atom scattering factors, no anomalous dispersion.

Atomic structure:
Cell: 6.6534 6.6534 5.6270 Å, 90.00 90.00 90.00°
Fractional positions:
1 Nd 0.1075 0.2595 0.0000
2 Nd 0.2595 0.8925 0.5000
3 Nd 0.7405 0.1075 0.5000
4 Nd 0.8925 0.7405 0.0000
5 Pd 0.3051 0.4046 0.5000
6 Pd 0.4046 0.6949 0.0000
7 Pd 0.5954 0.3051 0.0000
8 Pd 0.6949 0.5954 0.5000
9 O 0.0000 0.0000 0.2500
10 O 0.0000 0.0000 0.7500
11 O 0.1948 0.5987 0.2414
12 O 0.1948 0.5987 0.7586
13 O 0.4013 0.1948 0.2586
14 O 0.4013 0.1948 0.7414
15 O 0.5987 0.8052 0.2586
16 O 0.5987 0.8052 0.7414
17 O 0.8052 0.4013 0.2414
18 O 0.8052 0.4013 0.7586

Largest 12 diffraction maxima, sorted by position, 10 to 80 degrees two-theta:
2θ/deg	intensity
26.80	16
30.03	27
31.23	78
31.81	37
34.09	100
44.31	47
49.39	17
56.31	15
57.80	21
58.14	21
59.95	17
62.42	14



2.
# ZnSbAsO5
Calculated XRD peak list, copper Kα. Input: a PBE-relaxed structure.
Neutral-atom scattering factors, no anomalous dispersion.

Atomic structure:
Cell: 7.5113 7.8299 8.7598 Å, 90.00 90.00 90.00°
Fractional positions:
1 Zn 0.1163 0.2419 0.3247
2 Zn 0.3837 0.7581 0.8247
3 Zn 0.6163 0.2581 0.6753
4 Zn 0.8837 0.7419 0.1753
5 Sb 0.2280 0.7242 0.4949
6 Sb 0.2720 0.2758 0.9949
7 Sb 0.7280 0.7758 0.5051
8 Sb 0.7720 0.2242 0.0051
9 As 0.0501 0.1176 0.6595
10 As 0.4499 0.8824 0.1595
11 As 0.5501 0.3824 0.3405
12 As 0.9499 0.6176 0.8405
13 O 0.0546 0.9272 0.5563
14 O 0.0691 0.2830 0.5304
15 O 0.0752 0.1736 0.1240
16 O 0.1577 0.6288 0.7577
17 O 0.2146 0.1209 0.7957
18 O 0.2854 0.8791 0.2957
19 O 0.3423 0.3712 0.2577
20 O 0.4248 0.8264 0.6240
21 O 0.4309 0.7170 0.0304
22 O 0.4454 0.0728 0.0563
23 O 0.5546 0.5728 0.4437
24 O 0.5691 0.2170 0.4696
25 O 0.5752 0.3264 0.8760
26 O 0.6577 0.8712 0.2423
27 O 0.7146 0.3791 0.2043
28 O 0.7854 0.6209 0.7043
29 O 0.8423 0.1288 0.7423
30 O 0.9248 0.6736 0.3760
31 O 0.9309 0.7830 0.9696
32 O 0.9454 0.4272 0.9437

Largest 12 diffraction maxima, sorted by position, 10 to 80 degrees two-theta:
2θ/deg	intensity
15.18	43
19.26	24
22.71	79
25.66	26
25.81	31
27.64	25
28.25	100
32.73	75
33.45	26
39.09	34
51.10	23
53.02	29



3.
# LiAgF2
Calculated XRD peak list, copper Kα. Input: a PBE-relaxed structure.
Neutral-atom scattering factors, no anomalous dispersion.

Atomic structure:
Cell: 6.3967 6.3967 6.7120 Å, 90.45 90.45 127.05°
Fractional positions:
1 Li 0.0602 0.4219 0.1419
2 Li 0.4219 0.0602 0.6419
3 Li 0.5781 0.9398 0.3581
4 Li 0.9398 0.5781 0.8581
5 Ag 0.2022 0.3357 0.5567
6 Ag 0.3357 0.2022 0.0567
7 Ag 0.6643 0.7978 0.9433
8 Ag 0.7978 0.6643 0.4433
9 F 0.0972 0.9028 0.7500
10 F 0.1162 0.4208 0.8678
11 F 0.3960 0.6040 0.2500
12 F 0.4208 0.1162 0.3678
13 F 0.5792 0.8838 0.6322
14 F 0.6040 0.3960 0.7500
15 F 0.8838 0.5792 0.1322
16 F 0.9028 0.0972 0.2500

Largest 12 diffraction maxima, sorted by position, 10 to 80 degrees two-theta:
2θ/deg	intensity
15.48	100
26.56	21
30.89	21
31.07	78
31.30	69
31.38	47
32.15	30
37.91	23
41.19	21
43.43	29
44.64	32
44.82	27